1.
For Rb2BaCl4, a GGA-PBE-relaxed structure gives the computed PXRD pattern in this record (Cu Kα, 1.54184 Å).

Structural model:
Unit cell a=8.3924 b=8.3924 c=8.3924 alpha=109.87 beta=109.87 gamma=108.67
Element x y z (fractional)
Rb (0.3750, 0.2394, 0.3644)
Rb (0.7606, 0.1250, 0.1356)
Rb (0.8750, 0.0106, 0.6356)
Rb (0.9894, 0.6250, 0.8644)
Ba (0.2500, 0.7500, 0.5000)
Ba (0.5000, 0.5000, 0.0000)
Cl (0.1413, 0.3919, 0.6146)
Cl (0.1419, 0.3913, 0.1146)
Cl (0.2767, 0.0273, 0.8854)
Cl (0.4733, 0.8587, 0.2506)
Cl (0.6081, 0.2227, 0.7494)
Cl (0.6087, 0.7233, 0.7506)
Cl (0.7773, 0.5267, 0.3854)
Cl (0.9727, 0.8581, 0.2494)

Top 12 peaks for 2θ = 10–80°, low angle first:
| two_theta | I_rel |
| --- | --- |
| 22.36 | 32.0 |
| 22.53 | 68.4 |
| 28.89 | 60.7 |
| 29.27 | 100.0 |
| 34.47 | 27.7 |
| 34.66 | 47.1 |
| 34.77 | 30.7 |
| 41.39 | 19.1 |
| 41.90 | 22.0 |
| 43.77 | 20.0 |
| 59.00 | 24.4 |
| 71.89 | 17.9 |

---

2.
For Ba2ScCl7, a GGA-PBE-relaxed structure gives the computed PXRD pattern in this record (Cu Kα, 1.54184 Å).

Structural model:
Unit cell a=7.0276 b=13.6067 c=12.3693 alpha=90.00 beta=96.27 gamma=90.00
Element x y z (fractional)
Ba (0.2061, 0.0000, 0.2666)
Ba (0.2380, 0.7687, 0.8781)
Ba (0.2494, 0.4164, 0.3772)
Ba (0.2622, 0.1785, 0.7560)
Ba (0.7378, 0.6785, 0.2440)
Ba (0.7506, 0.9164, 0.6228)
Ba (0.7620, 0.2687, 0.1219)
Ba (0.7939, 0.5000, 0.7334)
Sc (0.2942, 0.7090, 0.4558)
Sc (0.3118, 0.4763, 0.9533)
Sc (0.6882, 0.9763, 0.0467)
Sc (0.7058, 0.2090, 0.5442)
Cl (0.0277, 0.8330, 0.4088)
Cl (0.0338, 0.5808, 0.9773)
Cl (0.0477, 0.5904, 0.4936)
Cl (0.0725, 0.3407, 0.8976)
Cl (0.1231, 0.9673, 0.7675)
Cl (0.1292, 0.2185, 0.2701)
Cl (0.2636, 0.6488, 0.2632)
Cl (0.2900, 0.5404, 0.7631)
Cl (0.3746, 0.7768, 0.6381)
Cl (0.3820, 0.4078, 0.1371)
Cl (0.4263, 0.8655, 0.1040)
Cl (0.4458, 0.0800, 0.5165)
Cl (0.4608, 0.1173, 0.9991)
Cl (0.4730, 0.3346, 0.6072)
Cl (0.5270, 0.8346, 0.3928)
Cl (0.5392, 0.6173, 0.0009)
Cl (0.5542, 0.5800, 0.4835)
Cl (0.5737, 0.3655, 0.8960)
Cl (0.6180, 0.9078, 0.8629)
Cl (0.6254, 0.2768, 0.3619)
Cl (0.7100, 0.0404, 0.2369)
Cl (0.7364, 0.1488, 0.7368)
Cl (0.8708, 0.7185, 0.7299)
Cl (0.8769, 0.4673, 0.2325)
Cl (0.9275, 0.8407, 0.1024)
Cl (0.9523, 0.0904, 0.5064)
Cl (0.9662, 0.0808, 0.0227)
Cl (0.9723, 0.3330, 0.5912)

Top 12 peaks for 2θ = 10–80°, low angle first:
| two_theta | I_rel |
| --- | --- |
| 18.15 | 77.5 |
| 19.07 | 49.7 |
| 19.30 | 47.1 |
| 20.10 | 83.4 |
| 20.88 | 47.0 |
| 21.29 | 37.7 |
| 30.79 | 44.0 |
| 30.96 | 36.7 |
| 31.95 | 93.8 |
| 32.52 | 100.0 |
| 33.76 | 77.6 |
| 36.88 | 40.3 |

---

3.
For Ba2ScCl7, a GGA-PBE-relaxed structure gives the computed PXRD pattern in this record (Cu Kα, 1.54184 Å).

Structural model:
Unit cell a=7.0120 b=13.6739 c=12.2612 alpha=90.00 beta=95.43 gamma=90.00
Element x y z (fractional)
Ba (0.2343, 0.1631, 0.0146)
Ba (0.2343, 0.3369, 0.5146)
Ba (0.2399, 0.5727, 0.1314)
Ba (0.2399, 0.9273, 0.6314)
Ba (0.7601, 0.0727, 0.3686)
Ba (0.7601, 0.4273, 0.8686)
Ba (0.7657, 0.6631, 0.4854)
Ba (0.7657, 0.8369, 0.9854)
Sc (0.3012, 0.6334, 0.7047)
Sc (0.3012, 0.8666, 0.2047)
Sc (0.6988, 0.1334, 0.7953)
Sc (0.6988, 0.3666, 0.2953)
Cl (0.0379, 0.7453, 0.7382)
Cl (0.0379, 0.7547, 0.2382)
Cl (0.0477, 0.5036, 0.6564)
Cl (0.0477, 0.9964, 0.1564)
Cl (0.1259, 0.1230, 0.5176)
Cl (0.1259, 0.3770, 0.0176)
Cl (0.2734, 0.6942, 0.5116)
Cl (0.2734, 0.8058, 0.0116)
Cl (0.3795, 0.5669, 0.8888)
Cl (0.3795, 0.9331, 0.3888)
Cl (0.4516, 0.0153, 0.8575)
Cl (0.4516, 0.4847, 0.3575)
Cl (0.4539, 0.2312, 0.2612)
Cl (0.4539, 0.2688, 0.7612)
Cl (0.5461, 0.7312, 0.2388)
Cl (0.5461, 0.7688, 0.7388)
Cl (0.5484, 0.5153, 0.6425)
Cl (0.5484, 0.9847, 0.1425)
Cl (0.6205, 0.0669, 0.6112)
Cl (0.6205, 0.4331, 0.1112)
Cl (0.7266, 0.1942, 0.9884)
Cl (0.7266, 0.3058, 0.4884)
Cl (0.8741, 0.6230, 0.9824)
Cl (0.8741, 0.8770, 0.4824)
Cl (0.9523, 0.0036, 0.8436)
Cl (0.9523, 0.4964, 0.3436)
Cl (0.9621, 0.2453, 0.7618)
Cl (0.9621, 0.2547, 0.2618)

Top 12 peaks for 2θ = 10–80°, low angle first:
| two_theta | I_rel |
| --- | --- |
| 18.38 | 68.3 |
| 19.12 | 41.2 |
| 19.50 | 48.4 |
| 20.02 | 75.1 |
| 20.80 | 44.5 |
| 25.51 | 42.0 |
| 30.69 | 43.2 |
| 32.12 | 100.0 |
| 32.59 | 61.0 |
| 32.85 | 40.4 |
| 36.78 | 59.4 |
| 42.35 | 39.9 |